Starting from DFT lattice parameters and positions (PBE), the X-ray powder pattern of NaAuO2 was computed for Cu Ka.
No peak broadening, texture or thermal motion is included.

Peak list (6 most intense, 2θ from 5° to 70°, low angle first)
- 2θ 16.3, intensity 100.0
- 2θ 26.2, intensity 47.4
- 2θ 30.1, intensity 44.6
- 2θ 31.9, intensity 30.0
- 2θ 32.9, intensity 70.2
- 2θ 41.2, intensity 42.2

Cell and atoms:
```
data_NaAuO2
_chemical_formula_sum 'Na1 Au1 O2'
_cell_length_a 3.7368
_cell_length_b 3.7368
_cell_length_c 6.2503
_cell_angle_alpha 116.51
_cell_angle_beta 116.51
_cell_angle_gamma 48.47
_space_group_name_H-M_alt 'P 1'
_space_group_IT_number 1
_space_group_name_Hall 'P 1'
loop_
_atom_site_label
_atom_site_type_symbol
_atom_site_fract_x
_atom_site_fract_y
_atom_site_fract_z
_atom_site_occupancy
Na1 Na 0.0000 0.0000 0.0000 1
Au1 Au 0.0000 0.0000 0.5000 1
O1 O 0.4085 0.4085 0.2523 1
O2 O 0.5915 0.5915 0.7477 1
```